Record 1
The following is a computed powder XRD pattern of DyAgSe2. It was derived from DFT lattice parameters and positions (GGA-PBE), using Cu Kα (weighted mean of Kα1 and Kα2).
Lines closer than 0.1° are merged.

Cell and atoms:
Cell: 5.6761 5.6761 12.4935 Å, 90.00 90.00 90.00°
Space group I4_1md (No. 109)
Inequivalent atoms, fractional coordinates:
Dy 0.0000 0.0000 0.0000 (multiplicity 4)
Ag 0.0000 0.0000 0.5393 (multiplicity 4)
Se 0.0000 0.0000 0.2300 (multiplicity 4)
Se 0.0000 0.0000 0.7676 (multiplicity 4)

The 8 most intense peaks (10° ≤ 2θ ≤ 90°), in order of falling intensity:
2θ/deg  I (rel.)  index
31.5  100  2 0 0
43.1  63  2 0 4
28.6  49  0 0 4
45.2  36  2 2 0
54.3  32  2 2 4
26.4  23  1 1 2
81.9  19  4 2 4
39.4  17  1 0 5



Record 2
The following is a computed powder XRD pattern of DyAgSe2. It was derived from DFT lattice parameters and positions (GGA-PBE), using Cu Kα (weighted mean of Kα1 and Kα2).
Lines closer than 0.1° are merged.

Cell and atoms:
Cell: 4.2834 6.8488 13.8554 Å, 90.00 90.00 90.00°
Space group P2_12_12_1 (No. 19)
Inequivalent atoms, fractional coordinates:
Dy 0.2283 0.2088 0.3717 (multiplicity 4)
Ag 0.0020 0.2045 0.1241 (multiplicity 4)
Se 0.2302 0.0892 0.7268 (multiplicity 4)
Se 0.2349 0.4876 0.5271 (multiplicity 4)

The 8 most intense peaks (10° ≤ 2θ ≤ 90°), in order of falling intensity:
2θ/deg  I (rel.)  index
27.7  100  1 1 2
36.9  88  0 2 4
36.0  54  1 2 2
31.3  49  1 1 3
44.6  40  1 0 6
44.8  35  2 1 1
32.6  33  0 2 3
41.0  31  1 1 5



Record 3
The following is a computed powder XRD pattern of DyAgSn2. It was derived from DFT lattice parameters and positions (GGA-PBE), using Cu Kα (weighted mean of Kα1 and Kα2).
Lines closer than 0.1° are merged.

Cell and atoms:
Cell: 4.6362 4.6362 4.4436 Å, 90.00 90.00 90.00°
Space group P4/mmm (No. 123)
Inequivalent atoms, fractional coordinates:
Dy 0.0000 0.0000 0.0000 (multiplicity 1)
Ag 0.5000 0.5000 0.0000 (multiplicity 1)
Sn 0.0000 0.5000 0.5000 (multiplicity 2)

The 8 most intense peaks (10° ≤ 2θ ≤ 90°), in order of falling intensity:
2θ/deg  I (rel.)  index
34.0  100  1 1 1
38.8  35  2 0 0
67.2  28  3 1 1
57.5  22  2 0 2
40.6  15  0 0 2
69.7  13  1 1 3
56.1  12  2 2 0
71.5  12  2 2 2



Record 4
The following is a computed powder XRD pattern of ErAg. It was derived from DFT lattice parameters and positions (GGA-PBE), using Cu Kα (weighted mean of Kα1 and Kα2).
Lines closer than 0.1° are merged.

Cell and atoms:
Cell: 3.6126 3.6126 3.6126 Å, 90.00 90.00 90.00°
Space group Pm-3m (No. 221)
Inequivalent atoms, fractional coordinates:
Er 0.0000 0.0000 0.0000 (multiplicity 1)
Ag 0.5000 0.5000 0.5000 (multiplicity 1)

The 8 most intense peaks (10° ≤ 2θ ≤ 90°), in order of falling intensity:
2θ/deg  I (rel.)  index
35.1  100  1 1 0
63.0  36  2 1 1
50.5  18  2 0 0
84.9  16  3 1 0
74.3  11  2 2 0
24.6  4  1 0 0
57.0  2  2 1 0
43.4  1  1 1 1



Record 5
The following is a computed powder XRD pattern of ErAg2. It was derived from DFT lattice parameters and positions (GGA-PBE), using Cu Kα (weighted mean of Kα1 and Kα2).
Lines closer than 0.1° are merged.

Cell and atoms:
Cell: 3.7302 3.7302 9.1956 Å, 90.00 90.00 90.00°
Space group I4/mmm (No. 139)
Inequivalent atoms, fractional coordinates:
Er 0.0000 0.0000 0.0000 (multiplicity 2)
Ag 0.0000 0.0000 0.3316 (multiplicity 4)

The 8 most intense peaks (10° ≤ 2θ ≤ 90°), in order of falling intensity:
2θ/deg  I (rel.)  index
38.0  100  1 0 3
34.0  68  1 1 0
63.5  43  2 1 3
48.8  24  2 0 0
71.1  15  1 1 6
81.2  11  2 0 6
81.6  10  3 1 0
84.0  10  3 0 3



Record 6
The following is a computed powder XRD pattern of ErGaAg. It was derived from DFT lattice parameters and positions (GGA-PBE), using Cu Kα (weighted mean of Kα1 and Kα2).
Lines closer than 0.1° are merged.

Cell and atoms:
Cell: 10.4527 4.5451 7.0921 Å, 90.00 131.92 90.00°
Space group C2/m (No. 12)
Inequivalent atoms, fractional coordinates:
Er 0.0370 0.0000 0.2901 (multiplicity 4)
Ga 0.1603 0.5000 0.1150 (multiplicity 4)
Ag 0.1721 0.5000 0.7214 (multiplicity 4)

The 8 most intense peaks (10° ≤ 2θ ≤ 90°), in order of falling intensity:
2θ/deg  I (rel.)  index
34.0  100  0 0 2
40.0  95  3 1 0
34.2  92  3 1 -2
39.7  67  0 2 0
32.7  36  1 1 1
34.5  29  4 0 -2
53.2  22  0 2 2
22.7  17  1 1 0



Record 7
The following is a computed powder XRD pattern of ErAgGe. It was derived from DFT lattice parameters and positions (GGA-PBE), using Cu Kα (weighted mean of Kα1 and Kα2).
Lines closer than 0.1° are merged.

Cell and atoms:
Cell: 7.3273 7.3273 4.0965 Å, 90.00 90.00 120.00°
Space group P-62m (No. 189)
Inequivalent atoms, fractional coordinates:
Er 0.0000 0.6036 0.0000 (multiplicity 3)
Ag 0.0000 0.0000 0.0000 (multiplicity 1)
Ag 0.3333 0.6667 0.5000 (multiplicity 2)
Ge 0.0000 0.2682 0.5000 (multiplicity 3)

The 8 most intense peaks (10° ≤ 2θ ≤ 90°), in order of falling intensity:
2θ/deg  I (rel.)  index
32.8  100  1 1 1
35.8  71  2 0 1
42.7  40  3 0 0
37.5  26  2 1 0
68.4  25  3 2 1
63.2  25  3 0 2
44.2  24  0 0 2
43.7  19  2 1 1



Record 8
The following is a computed powder XRD pattern of ErAgGe. It was derived from DFT lattice parameters and positions (GGA-PBE), using Cu Kα (weighted mean of Kα1 and Kα2).
Lines closer than 0.1° are merged.

Cell and atoms:
Cell: 7.1343 7.1343 4.1980 Å, 90.00 90.00 120.00°
Space group P-62m (No. 189)
Inequivalent atoms, fractional coordinates:
Er 0.0000 0.5839 0.0000 (multiplicity 3)
Ag 0.0000 0.2513 0.5000 (multiplicity 3)
Ge 0.0000 0.0000 0.0000 (multiplicity 1)
Ge 0.3333 0.6667 0.5000 (multiplicity 2)

The 8 most intense peaks (10° ≤ 2θ ≤ 90°), in order of falling intensity:
2θ/deg  I (rel.)  index
33.0  100  1 1 1
36.1  87  2 0 1
38.6  48  2 1 0
43.1  28  0 0 2
59.2  26  2 1 2
58.1  23  3 1 1
70.1  22  3 2 1
44.0  19  3 0 0



Record 9
The following is a computed powder XRD pattern of Er2AgHg. It was derived from DFT lattice parameters and positions (GGA-PBE), using Cu Kα (weighted mean of Kα1 and Kα2).
Lines closer than 0.1° are merged.

Cell and atoms:
Cell: 7.2996 7.2996 7.2996 Å, 90.00 90.00 90.00°
Space group Fm-3m (No. 225)
Inequivalent atoms, fractional coordinates:
Er 0.2500 0.2500 0.2500 (multiplicity 8)
Ag 0.0000 0.0000 0.0000 (multiplicity 4)
Hg 0.0000 0.0000 0.5000 (multiplicity 4)

The 8 most intense peaks (10° ≤ 2θ ≤ 90°), in order of falling intensity:
2θ/deg  I (rel.)  index
34.8  100  2 2 0
62.3  37  4 2 2
50.0  18  4 0 0
83.8  16  6 2 0
73.4  11  4 4 0
21.1  4  1 1 1
41.0  2  3 1 1
54.8  1  3 3 1



Record 10
The following is a computed powder XRD pattern of ErAgHg2. It was derived from DFT lattice parameters and positions (GGA-PBE), using Cu Kα (weighted mean of Kα1 and Kα2).
Lines closer than 0.1° are merged.

Cell and atoms:
Cell: 7.0761 7.0761 7.0761 Å, 90.00 90.00 90.00°
Space group Fm-3m (No. 225)
Inequivalent atoms, fractional coordinates:
Er 0.0000 0.0000 0.0000 (multiplicity 4)
Ag 0.0000 0.0000 0.5000 (multiplicity 4)
Hg 0.2500 0.2500 0.2500 (multiplicity 8)

The 8 most intense peaks (10° ≤ 2θ ≤ 90°), in order of falling intensity:
2θ/deg  I (rel.)  index
35.9  100  2 2 0
64.5  36  4 2 2
51.7  18  4 0 0
87.1  17  6 2 0
76.1  11  4 4 0
25.2  4  2 0 0
58.3  2  4 2 0
21.8  1  1 1 1



Record 11
The following is a computed powder XRD pattern of ErInAg2. It was derived from DFT lattice parameters and positions (GGA-PBE), using Cu Kα (weighted mean of Kα1 and Kα2).
Lines closer than 0.1° are merged.

Cell and atoms:
Cell: 6.9757 6.9757 6.9757 Å, 90.00 90.00 90.00°
Space group Fm-3m (No. 225)
Inequivalent atoms, fractional coordinates:
Er 0.0000 0.0000 0.0000 (multiplicity 4)
In 0.0000 0.0000 0.5000 (multiplicity 4)
Ag 0.2500 0.2500 0.2500 (multiplicity 8)

The 8 most intense peaks (10° ≤ 2θ ≤ 90°), in order of falling intensity:
2θ/deg  I (rel.)  index
36.4  100  2 2 0
65.6  34  4 2 2
52.5  17  4 0 0
88.7  16  6 2 0
77.4  11  4 4 0
22.1  2  1 1 1
25.5  2  2 0 0
43.0  1  3 1 1